[1]
ZnCoGeO4: computed powder XRD pattern (Cu Kα, 1.54184 Å), based on a PBE+U-relaxed structure.

Structural model:
Lattice parameters (Å, degrees): 5.906 5.906 8.268 90.00 90.00 90.00
Space group P4_122 (No. 91)
One atom of each set of equivalent atoms:
Zn1 0.000 0.250 0.000 [4 per cell]
Co1 0.251 0.500 0.750 [4 per cell]
Ge1 0.250 0.250 0.375 [4 per cell]
O1 0.001 0.251 0.252 [8 per cell]
O2 0.251 0.497 0.501 [8 per cell]

Largest 6 diffraction maxima, by angle, 10 to 80 degrees two-theta:
2theta	intensity
30.42	30
35.68	100
35.96	49
57.34	24
62.94	21
63.31	41


[2]
ZnCoGeO4: computed powder XRD pattern (Cu Kα, 1.54184 Å), based on a PBE+U-relaxed structure.

Structural model:
Lattice parameters (Å, degrees): 5.924 5.924 8.268 90.00 90.00 90.00
Space group P4_122 (No. 91)
One atom of each set of equivalent atoms:
Zn1 0.248 0.248 0.375 [4 per cell]
Co1 0.254 0.500 0.750 [4 per cell]
Ge1 0.000 0.255 0.000 [4 per cell]
O1 0.020 0.231 0.768 [8 per cell]
O2 0.231 0.471 0.001 [8 per cell]

Largest 6 diffraction maxima, by angle, 10 to 80 degrees two-theta:
2theta	intensity
30.38	30
35.58	100
35.94	51
57.16	31
62.73	21
63.20	42


[3]
ZnCoGeO4: computed powder XRD pattern (Cu Kα, 1.54184 Å), based on a PBE+U-relaxed structure.

Structural model:
Lattice parameters (Å, degrees): 5.943 5.943 8.283 90.00 90.00 90.00
Space group P4_122 (No. 91)
One atom of each set of equivalent atoms:
Zn1 0.000 0.243 0.000 [4 per cell]
Co1 0.251 0.251 0.375 [4 per cell]
Ge1 0.247 0.500 0.750 [4 per cell]
O1 0.031 0.270 0.746 [8 per cell]
O2 0.270 0.482 0.981 [8 per cell]

Largest 6 diffraction maxima, by angle, 10 to 80 degrees two-theta:
2theta	intensity
18.37	26
35.47	100
35.87	52
37.24	24
56.97	31
63.03	44